# 1
CePrTlTe: computed PXRD pattern (Cu Kα), based on DFT lattice parameters and positions (PBE).
No peak broadening, texture or thermal motion is included.

Principal peaks in the range 2θ = 10–80°, low angle first:
| two_theta | I (rel.) |
| --- | --- |
| 27.82 | 100 |
| 39.76 | 77 |
| 49.22 | 28 |
| 65.00 | 24 |
| 65.14 | 12 |
| 72.12 | 18 |

Crystal structure
```
data_CePrTlTe
_chemical_formula_sum 'Ce1 Pr1 Tl1 Te1'
_symmetry_space_group_name_H-M 'P 1'
_symmetry_Int_Tables_number 1
_cell_length_a 4.539
_cell_length_b 4.539
_cell_length_c 6.401
_cell_angle_alpha 90.00
_cell_angle_beta 90.00
_cell_angle_gamma 90.00
loop_
_symmetry_equiv_pos_as_xyz
'x,y,z'
loop_
_atom_site_label
_atom_site_type_symbol
_atom_site_fract_x
_atom_site_fract_y
_atom_site_fract_z
Ce1 Ce 0.000 0.000 0.000
Pr1 Pr 0.500 0.500 0.500
Tl1 Tl 0.500 0.500 0.000
Te1 Te 0.000 0.000 0.500
```

=====

# 2
Ce12PrTh7: computed PXRD pattern (Cu Kα), based on DFT lattice parameters and positions (PBE).
No peak broadening, texture or thermal motion is included.

Principal peaks in the range 2θ = 10–80°, low angle first:
| two_theta | I (rel.) |
| --- | --- |
| 22.66 | 89 |
| 32.26 | 100 |
| 39.79 | 98 |
| 46.27 | 49 |
| 62.63 | 44 |
| 72.22 | 49 |

Crystal structure
```
data_Ce12PrTh7
_chemical_formula_sum 'Ce12 Pr1 Th7'
_symmetry_space_group_name_H-M 'P 1'
_symmetry_Int_Tables_number 1
_cell_length_a 9.613
_cell_length_b 9.613
_cell_length_c 9.613
_cell_angle_alpha 109.47
_cell_angle_beta 109.47
_cell_angle_gamma 109.47
loop_
_symmetry_equiv_pos_as_xyz
'x,y,z'
loop_
_atom_site_label
_atom_site_type_symbol
_atom_site_fract_x
_atom_site_fract_y
_atom_site_fract_z
Ce1 Ce 0.093 0.786 0.307
Ce2 Ce 0.214 0.307 0.522
Ce3 Ce 0.214 0.693 0.907
Ce4 Ce 0.307 0.093 0.786
Ce5 Ce 0.307 0.522 0.214
Ce6 Ce 0.478 0.786 0.693
Ce7 Ce 0.522 0.214 0.307
Ce8 Ce 0.693 0.478 0.786
Ce9 Ce 0.693 0.907 0.214
Ce10 Ce 0.786 0.307 0.093
Ce11 Ce 0.786 0.693 0.478
Ce12 Ce 0.907 0.214 0.693
Pr1 Pr 0.000 0.000 0.000
Th1 Th 0.000 0.000 0.500
Th2 Th 0.000 0.500 0.000
Th3 Th 0.000 0.500 0.500
Th4 Th 0.500 0.000 0.000
Th5 Th 0.500 0.000 0.500
Th6 Th 0.500 0.500 0.000
Th7 Th 0.500 0.500 0.500
```

=====

# 3
CePr6Th: computed PXRD pattern (Cu Kα), based on DFT lattice parameters and positions (PBE).
No peak broadening, texture or thermal motion is included.

Principal peaks in the range 2θ = 10–80°, low angle first:
| two_theta | I (rel.) |
| --- | --- |
| 29.47 | 100 |
| 30.04 | 98 |
| 30.45 | 26 |
| 30.95 | 26 |
| 31.84 | 81 |
| 32.43 | 31 |

Crystal structure
```
data_CePr6Th
_chemical_formula_sum 'Ce1 Pr6 Th1'
_symmetry_space_group_name_H-M 'P 1'
_symmetry_Int_Tables_number 1
_cell_length_a 6.564
_cell_length_b 6.919
_cell_length_c 6.927
_cell_angle_alpha 61.22
_cell_angle_beta 88.51
_cell_angle_gamma 86.30
loop_
_symmetry_equiv_pos_as_xyz
'x,y,z'
loop_
_atom_site_label
_atom_site_type_symbol
_atom_site_fract_x
_atom_site_fract_y
_atom_site_fract_z
Ce1 Ce 0.000 0.000 0.000
Pr1 Pr 0.242 0.096 0.427
Pr2 Pr 0.254 0.558 0.442
Pr3 Pr 0.254 0.573 0.906
Pr4 Pr 0.746 0.427 0.094
Pr5 Pr 0.746 0.442 0.558
Pr6 Pr 0.758 0.904 0.573
Th1 Th 0.500 0.000 0.000
```

=====

# 4
Ce6PrTl6: computed PXRD pattern (Cu Kα), based on DFT lattice parameters and positions (PBE).
No peak broadening, texture or thermal motion is included.

Principal peaks in the range 2θ = 10–80°, low angle first:
| two_theta | I (rel.) |
| --- | --- |
| 26.12 | 32 |
| 30.01 | 66 |
| 31.08 | 66 |
| 33.27 | 36 |
| 33.64 | 30 |
| 35.41 | 100 |

Crystal structure
```
data_Ce6PrTl6
_chemical_formula_sum 'Ce6 Pr1 Tl6'
_symmetry_space_group_name_H-M 'P 1'
_symmetry_Int_Tables_number 1
_cell_length_a 6.327
_cell_length_b 6.327
_cell_length_c 10.772
_cell_angle_alpha 90.00
_cell_angle_beta 90.00
_cell_angle_gamma 114.75
loop_
_symmetry_equiv_pos_as_xyz
'x,y,z'
loop_
_atom_site_label
_atom_site_type_symbol
_atom_site_fract_x
_atom_site_fract_y
_atom_site_fract_z
Ce1 Ce 0.000 0.000 0.203
Ce2 Ce 0.000 0.000 0.797
Ce3 Ce 0.000 0.500 0.272
Ce4 Ce 0.000 0.500 0.728
Ce5 Ce 0.500 0.000 0.272
Ce6 Ce 0.500 0.000 0.728
Pr1 Pr 0.500 0.500 0.500
Tl1 Tl 0.140 0.860 0.500
Tl2 Tl 0.258 0.742 0.000
Tl3 Tl 0.500 0.500 0.186
Tl4 Tl 0.500 0.500 0.814
Tl5 Tl 0.742 0.258 0.000
Tl6 Tl 0.860 0.140 0.500
```

=====

# 5
Ce5PrTl8: computed PXRD pattern (Cu Kα), based on DFT lattice parameters and positions (PBE).
No peak broadening, texture or thermal motion is included.

Principal peaks in the range 2θ = 10–80°, low angle first:
| two_theta | I (rel.) |
| --- | --- |
| 22.82 | 17 |
| 29.60 | 100 |
| 35.18 | 97 |
| 46.62 | 27 |
| 59.77 | 20 |
| 63.10 | 12 |

Crystal structure
```
data_Ce5PrTl8
_chemical_formula_sum 'Ce5 Pr1 Tl8'
_symmetry_space_group_name_H-M 'P 1'
_symmetry_Int_Tables_number 1
_cell_length_a 8.265
_cell_length_b 8.265
_cell_length_c 8.265
_cell_angle_alpha 109.55
_cell_angle_beta 109.55
_cell_angle_gamma 109.32
loop_
_symmetry_equiv_pos_as_xyz
'x,y,z'
loop_
_atom_site_label
_atom_site_type_symbol
_atom_site_fract_x
_atom_site_fract_y
_atom_site_fract_z
Ce1 Ce 0.000 0.000 0.000
Ce2 Ce 0.249 0.625 0.124
Ce3 Ce 0.375 0.499 0.624
Ce4 Ce 0.501 0.125 0.876
Ce5 Ce 0.875 0.751 0.376
Pr1 Pr 0.750 0.250 0.500
Tl1 Tl 0.127 0.710 0.750
Tl2 Tl 0.128 0.208 0.751
Tl3 Tl 0.290 0.040 0.418
Tl4 Tl 0.457 0.377 0.249
Tl5 Tl 0.623 0.872 0.080
Tl6 Tl 0.623 0.873 0.582
Tl7 Tl 0.792 0.543 0.920
Tl8 Tl 0.960 0.377 0.250
```

=====

# 6
CePr4Tl5: computed PXRD pattern (Cu Kα), based on DFT lattice parameters and positions (PBE).
No peak broadening, texture or thermal motion is included.

Principal peaks in the range 2θ = 10–80°, low angle first:
| two_theta | I (rel.) |
| --- | --- |
| 32.11 | 100 |
| 32.42 | 49 |
| 46.50 | 18 |
| 57.04 | 20 |
| 57.63 | 38 |
| 67.15 | 12 |

Crystal structure
```
data_CePr4Tl5
_chemical_formula_sum 'Ce1 Pr4 Tl5'
_symmetry_space_group_name_H-M 'P 1'
_symmetry_Int_Tables_number 1
_cell_length_a 3.906
_cell_length_b 3.906
_cell_length_c 19.902
_cell_angle_alpha 90.00
_cell_angle_beta 90.00
_cell_angle_gamma 90.00
loop_
_symmetry_equiv_pos_as_xyz
'x,y,z'
loop_
_atom_site_label
_atom_site_type_symbol
_atom_site_fract_x
_atom_site_fract_y
_atom_site_fract_z
Ce1 Ce 0.000 0.000 0.000
Pr1 Pr 0.000 0.000 0.199
Pr2 Pr 0.000 0.000 0.400
Pr3 Pr 0.000 0.000 0.600
Pr4 Pr 0.000 0.000 0.801
Tl1 Tl 0.500 0.500 0.099
Tl2 Tl 0.500 0.500 0.299
Tl3 Tl 0.500 0.500 0.500
Tl4 Tl 0.500 0.500 0.701
Tl5 Tl 0.500 0.500 0.901
```

=====

# 7
CePrTm2Tl4: computed PXRD pattern (Cu Kα), based on DFT lattice parameters and positions (PBE).
No peak broadening, texture or thermal motion is included.

Principal peaks in the range 2θ = 10–80°, low angle first:
| two_theta | I (rel.) |
| --- | --- |
| 32.99 | 100 |
| 47.35 | 18 |
| 58.83 | 10 |
| 58.94 | 29 |
| 69.14 | 6 |
| 78.82 | 17 |

Crystal structure
```
data_CePrTm2Tl4
_chemical_formula_sum 'Ce1 Pr1 Tm2 Tl4'
_symmetry_space_group_name_H-M 'P 1'
_symmetry_Int_Tables_number 1
_cell_length_a 9.419
_cell_length_b 9.419
_cell_length_c 9.419
_cell_angle_alpha 33.48
_cell_angle_beta 33.48
_cell_angle_gamma 33.48
loop_
_symmetry_equiv_pos_as_xyz
'x,y,z'
loop_
_atom_site_label
_atom_site_type_symbol
_atom_site_fract_x
_atom_site_fract_y
_atom_site_fract_z
Ce1 Ce 0.000 0.000 0.000
Pr1 Pr 0.500 0.500 0.500
Tm1 Tm 0.250 0.250 0.250
Tm2 Tm 0.750 0.750 0.750
Tl1 Tl 0.124 0.124 0.124
Tl2 Tl 0.375 0.375 0.375
Tl3 Tl 0.625 0.625 0.625
Tl4 Tl 0.876 0.876 0.876
```

=====

# 8
CePr12Tm5: computed PXRD pattern (Cu Kα), based on DFT lattice parameters and positions (PBE).
No peak broadening, texture or thermal motion is included.

Principal peaks in the range 2θ = 10–80°, low angle first:
| two_theta | I (rel.) |
| --- | --- |
| 30.01 | 100 |
| 34.73 | 34 |
| 34.91 | 17 |
| 50.07 | 24 |
| 59.37 | 29 |
| 59.60 | 14 |

Crystal structure
```
data_CePr12Tm5
_chemical_formula_sum 'Ce1 Pr12 Tm5'
_symmetry_space_group_name_H-M 'P 1'
_symmetry_Int_Tables_number 1
_cell_length_a 10.928
_cell_length_b 10.928
_cell_length_c 5.168
_cell_angle_alpha 90.00
_cell_angle_beta 90.00
_cell_angle_gamma 90.25
loop_
_symmetry_equiv_pos_as_xyz
'x,y,z'
loop_
_atom_site_label
_atom_site_type_symbol
_atom_site_fract_x
_atom_site_fract_y
_atom_site_fract_z
Ce1 Ce 0.000 0.000 0.000
Pr1 Pr 0.002 0.670 0.000
Pr2 Pr 0.163 0.163 0.500
Pr3 Pr 0.170 0.502 0.500
Pr4 Pr 0.330 0.998 0.000
Pr5 Pr 0.337 0.337 0.000
Pr6 Pr 0.498 0.830 0.500
Pr7 Pr 0.502 0.170 0.500
Pr8 Pr 0.663 0.663 0.000
Pr9 Pr 0.670 0.002 0.000
Pr10 Pr 0.830 0.498 0.500
Pr11 Pr 0.837 0.837 0.500
Pr12 Pr 0.998 0.330 0.000
Tm1 Tm 0.166 0.834 0.500
Tm2 Tm 0.333 0.667 0.000
Tm3 Tm 0.500 0.500 0.500
Tm4 Tm 0.667 0.333 0.000
Tm5 Tm 0.834 0.166 0.500
```

=====

# 9
CePr6Tm: computed PXRD pattern (Cu Kα), based on DFT lattice parameters and positions (PBE).
No peak broadening, texture or thermal motion is included.

Principal peaks in the range 2θ = 10–80°, low angle first:
| two_theta | I (rel.) |
| --- | --- |
| 29.46 | 61 |
| 31.60 | 100 |
| 42.14 | 23 |
| 53.62 | 45 |
| 57.58 | 17 |
| 65.99 | 11 |

Crystal structure
```
data_CePr6Tm
_chemical_formula_sum 'Ce2 Pr12 Tm2'
_symmetry_space_group_name_H-M 'P 1'
_symmetry_Int_Tables_number 1
_cell_length_a 16.247
_cell_length_b 6.065
_cell_length_c 6.065
_cell_angle_alpha 90.00
_cell_angle_beta 111.86
_cell_angle_gamma 90.00
loop_
_symmetry_equiv_pos_as_xyz
'x,y,z'
loop_
_atom_site_label
_atom_site_type_symbol
_atom_site_fract_x
_atom_site_fract_y
_atom_site_fract_z
Ce1 Ce 0.000 0.000 0.000
Ce2 Ce 0.500 0.500 0.000
Pr1 Pr 0.118 0.000 0.618
Pr2 Pr 0.118 0.500 0.118
Pr3 Pr 0.248 0.000 0.247
Pr4 Pr 0.252 0.500 0.753
Pr5 Pr 0.382 0.000 0.882
Pr6 Pr 0.382 0.500 0.382
Pr7 Pr 0.618 0.000 0.118
Pr8 Pr 0.618 0.500 0.618
Pr9 Pr 0.748 0.500 0.247
Pr10 Pr 0.752 0.000 0.753
Pr11 Pr 0.882 0.000 0.382
Pr12 Pr 0.882 0.500 0.882
Tm1 Tm 0.000 0.500 0.500
Tm2 Tm 0.500 0.000 0.500
```

=====

# 10
CePr6Tm10: computed PXRD pattern (Cu Kα), based on DFT lattice parameters and positions (PBE).
No peak broadening, texture or thermal motion is included.

Principal peaks in the range 2θ = 10–80°, low angle first:
| two_theta | I (rel.) |
| --- | --- |
| 31.11 | 49 |
| 31.86 | 100 |
| 32.10 | 72 |
| 45.86 | 24 |
| 56.62 | 18 |
| 57.08 | 15 |

Crystal structure
```
data_CePr6Tm10
_chemical_formula_sum 'Ce1 Pr6 Tm10'
_symmetry_space_group_name_H-M 'P 1'
_symmetry_Int_Tables_number 1
_cell_length_a 9.658
_cell_length_b 9.658
_cell_length_c 6.905
_cell_angle_alpha 90.00
_cell_angle_beta 90.00
_cell_angle_gamma 120.00
loop_
_symmetry_equiv_pos_as_xyz
'x,y,z'
loop_
_atom_site_label
_atom_site_type_symbol
_atom_site_fract_x
_atom_site_fract_y
_atom_site_fract_z
Ce1 Ce 0.000 0.000 0.000
Pr1 Pr 0.000 0.379 0.801
Pr2 Pr 0.000 0.621 0.199
Pr3 Pr 0.379 0.000 0.801
Pr4 Pr 0.379 0.379 0.199
Pr5 Pr 0.621 0.000 0.199
Pr6 Pr 0.621 0.621 0.801
Tm1 Tm 0.000 0.272 0.321
Tm2 Tm 0.000 0.728 0.679
Tm3 Tm 0.272 0.000 0.321
Tm4 Tm 0.272 0.272 0.679
Tm5 Tm 0.333 0.667 0.000
Tm6 Tm 0.333 0.667 0.500
Tm7 Tm 0.667 0.333 0.000
Tm8 Tm 0.667 0.333 0.500
Tm9 Tm 0.728 0.000 0.679
Tm10 Tm 0.728 0.728 0.321
```

=====

# 11
CePr10Tm4: computed PXRD pattern (Cu Kα), based on DFT lattice parameters and positions (PBE).
No peak broadening, texture or thermal motion is included.

Principal peaks in the range 2θ = 10–80°, low angle first:
| two_theta | I (rel.) |
| --- | --- |
| 26.42 | 75 |
| 28.29 | 92 |
| 28.52 | 100 |
| 32.11 | 98 |
| 33.11 | 78 |
| 33.69 | 51 |

Crystal structure
```
data_CePr10Tm4
_chemical_formula_sum 'Ce1 Pr10 Tm4'
_symmetry_space_group_name_H-M 'P 1'
_symmetry_Int_Tables_number 1
_cell_length_a 8.830
_cell_length_b 8.830
_cell_length_c 8.830
_cell_angle_alpha 111.82
_cell_angle_beta 111.82
_cell_angle_gamma 104.88
loop_
_symmetry_equiv_pos_as_xyz
'x,y,z'
loop_
_atom_site_label
_atom_site_type_symbol
_atom_site_fract_x
_atom_site_fract_y
_atom_site_fract_z
Ce1 Ce 0.000 0.000 0.000
Pr1 Pr 0.130 0.229 0.669
Pr2 Pr 0.229 0.559 0.099
Pr3 Pr 0.250 0.750 0.500
Pr4 Pr 0.441 0.539 0.669
Pr5 Pr 0.461 0.130 0.901
Pr6 Pr 0.539 0.870 0.099
Pr7 Pr 0.559 0.461 0.331
Pr8 Pr 0.750 0.250 0.500
Pr9 Pr 0.771 0.441 0.901
Pr10 Pr 0.870 0.771 0.331
Tm1 Tm 0.061 0.666 0.727
Tm2 Tm 0.334 0.061 0.396
Tm3 Tm 0.666 0.939 0.604
Tm4 Tm 0.939 0.334 0.273
```

=====

# 12
CePrTm14: computed PXRD pattern (Cu Kα), based on DFT lattice parameters and positions (PBE).
No peak broadening, texture or thermal motion is included.

Principal peaks in the range 2θ = 10–80°, low angle first:
| two_theta | I (rel.) |
| --- | --- |
| 31.15 | 15 |
| 31.99 | 100 |
| 32.16 | 15 |
| 32.60 | 33 |
| 46.44 | 11 |
| 57.78 | 17 |

Crystal structure
```
data_CePrTm14
_chemical_formula_sum 'Ce1 Pr1 Tm14'
_symmetry_space_group_name_H-M 'P 1'
_symmetry_Int_Tables_number 1
_cell_length_a 10.988
_cell_length_b 6.858
_cell_length_c 6.858
_cell_angle_alpha 71.46
_cell_angle_beta 90.00
_cell_angle_gamma 90.00
loop_
_symmetry_equiv_pos_as_xyz
'x,y,z'
loop_
_atom_site_label
_atom_site_type_symbol
_atom_site_fract_x
_atom_site_fract_y
_atom_site_fract_z
Ce1 Ce 0.000 0.000 0.000
Pr1 Pr 0.000 0.561 0.561
Tm1 Tm 0.000 0.076 0.490
Tm2 Tm 0.000 0.490 0.076
Tm3 Tm 0.237 0.765 0.765
Tm4 Tm 0.252 0.275 0.699
Tm5 Tm 0.252 0.699 0.275
Tm6 Tm 0.268 0.212 0.212
Tm7 Tm 0.500 0.419 0.419
Tm8 Tm 0.500 0.491 0.903
Tm9 Tm 0.500 0.903 0.491
Tm10 Tm 0.500 0.970 0.970
Tm11 Tm 0.732 0.212 0.212
Tm12 Tm 0.748 0.275 0.699
Tm13 Tm 0.748 0.699 0.275
Tm14 Tm 0.763 0.765 0.765
```